Record 1
Theoretical powder X-ray diffraction pattern of Ca3Ti3As4O16 for a wavelength of 1.5418 Å, from DFT lattice parameters and positions (PBE).
Kinematic intensities with the Lorentz-polarization factor, no thermal factor.

Atomic structure:
```
data_Ca3Ti3As4O16
_chemical_formula_sum 'Ca6 Ti6 As8 O32'
_cell_length_a 8.978
_cell_length_b 5.145
_cell_length_c 17.537
_cell_angle_alpha 90.00
_cell_angle_beta 110.04
_cell_angle_gamma 90.00
_space_group_name_H-M_alt 'P 1 21/c 1'
_space_group_IT_number 14
loop_
_space_group_symop_operation_xyz
'x,y,z'
'-x,-y,-z'
'-x,y+1/2,-z+1/2'
'x,-y+1/2,z+1/2'
loop_
_atom_site_label
_atom_site_fract_x
_atom_site_fract_y
_atom_site_fract_z
Ca1 0.000 0.000 0.000
Ca2 0.330 0.062 0.277
Ti1 0.221 0.561 0.380
Ti2 0.500 0.000 0.500
As1 0.046 0.511 0.162
As2 0.431 0.504 0.603
O1 0.007 0.167 0.867
O2 0.111 0.146 0.594
O3 0.121 0.617 0.823
O4 0.192 0.036 0.756
O5 0.216 0.666 0.473
O6 0.400 0.209 0.915
O7 0.428 0.724 0.890
O8 0.466 0.618 0.701
```

The 12 most intense peaks (10 to 90 degrees two-theta), in order of rising 2θ:
2θ (°), I (rel.), index
12.18, 55.5, 1 0 -2
21.08, 49.3, 2 0 0
21.58, 33.1, 0 0 4
23.57, 56.2, 1 1 -3
26.41, 83.2, 2 1 -1
28.19, 100.0, 1 1 3
29.29, 29.0, 2 1 1
30.88, 34.6, 1 1 -5
32.26, 71.5, 0 1 5
34.88, 45.9, 0 2 0
35.11, 67.7, 3 1 -3
37.16, 31.0, 3 0 2

=====

Record 2
Theoretical powder X-ray diffraction pattern of Ti2ReIr for a wavelength of 1.5418 Å, from DFT lattice parameters and positions (PBE).
Kinematic intensities with the Lorentz-polarization factor, no thermal factor.

Atomic structure:
```
data_Ti2ReIr
_chemical_formula_sum 'Ti8 Re4 Ir4'
_cell_length_a 6.224
_cell_length_b 6.224
_cell_length_c 6.224
_cell_angle_alpha 90.00
_cell_angle_beta 90.00
_cell_angle_gamma 90.00
_space_group_name_H-M_alt 'F m -3 m'
_space_group_IT_number 225
_space_group_name_Hall '-F 4 2 3'
loop_
_atom_site_label
_atom_site_fract_x
_atom_site_fract_y
_atom_site_fract_z
Ti1 0.250 0.250 0.250
Re1 0.000 0.000 0.000
Ir1 0.000 0.000 0.500
```

The 7 most intense peaks (10 to 90 degrees two-theta), in order of rising 2θ:
2θ (°), I (rel.), index
28.69, 45.2, 2 0 0
41.02, 100.0, 2 2 0
50.82, 13.4, 2 2 2
59.40, 16.6, 4 0 0
67.28, 18.0, 4 2 0
74.72, 33.6, 4 2 2
88.97, 11.1, 4 4 0

=====

Record 3
Theoretical powder X-ray diffraction pattern of YSeF for a wavelength of 1.5418 Å, from DFT lattice parameters and positions (PBE).
Kinematic intensities with the Lorentz-polarization factor, no thermal factor.

Atomic structure:
```
data_YSeF
_chemical_formula_sum 'Y4 Se4 F4'
_cell_length_a 7.720
_cell_length_b 5.739
_cell_length_c 5.808
_cell_angle_alpha 90.00
_cell_angle_beta 90.00
_cell_angle_gamma 90.00
_space_group_name_H-M_alt 'P n m a'
_space_group_IT_number 62
loop_
_space_group_symop_operation_xyz
'x,y,z'
'-x,-y,-z'
'-x+1/2,-y,z+1/2'
'x+1/2,y,-z+1/2'
'x+1/2,-y+1/2,-z+1/2'
'-x+1/2,y+1/2,z+1/2'
'-x,y+1/2,-z'
'x,-y+1/2,z'
loop_
_atom_site_label
_atom_site_fract_x
_atom_site_fract_y
_atom_site_fract_z
Y1 0.182 0.250 0.128
Se1 0.170 0.750 0.119
F1 0.036 0.750 0.633
```

The 12 most intense peaks (10 to 90 degrees two-theta), in order of rising 2θ:
2θ (°), I (rel.), index
19.12, 26.8, 1 0 1
23.04, 36.5, 2 0 0
27.75, 49.9, 2 0 1
31.17, 86.1, 0 2 0
32.95, 100.0, 1 0 2
38.26, 44.6, 3 0 1
39.12, 18.2, 2 2 0
42.21, 31.6, 2 2 1
45.99, 76.8, 1 2 2
49.79, 19.2, 4 0 1
50.14, 40.5, 3 2 1
59.91, 21.3, 4 2 1

=====

Record 4
Theoretical powder X-ray diffraction pattern of Rb2LaNb2O8 for a wavelength of 1.5418 Å, from DFT lattice parameters and positions (PBE).
Kinematic intensities with the Lorentz-polarization factor, no thermal factor.

Atomic structure:
```
data_Rb2LaNb2O8
_chemical_formula_sum 'Rb2 La1 Nb2 O8'
_cell_length_a 3.917
_cell_length_b 3.917
_cell_length_c 14.842
_cell_angle_alpha 90.00
_cell_angle_beta 90.00
_cell_angle_gamma 90.00
_space_group_name_H-M_alt 'P 4/m m m'
_space_group_IT_number 123
_space_group_name_Hall '-P 4 2'
loop_
_atom_site_label
_atom_site_fract_x
_atom_site_fract_y
_atom_site_fract_z
Rb1 0.000 0.000 0.115
La1 0.000 0.000 0.500
Nb1 0.500 0.500 0.345
O1 0.000 0.500 0.375
O2 0.500 0.500 0.000
O3 0.500 0.500 0.223
O4 0.500 0.500 0.500
```

The 12 most intense peaks (10 to 90 degrees two-theta), in order of rising 2θ:
2θ (°), I (rel.), index
11.93, 9.6, 0 0 2
23.49, 9.8, 1 0 1
25.72, 43.4, 1 0 2
29.08, 100.0, 1 0 3
32.32, 58.2, 1 1 0
38.04, 23.9, 1 0 5
44.75, 21.8, 1 1 5
46.36, 32.2, 2 0 0
53.77, 11.2, 2 1 2
55.66, 32.5, 2 1 3
61.46, 11.2, 2 1 5
67.65, 9.6, 2 2 0

=====

Record 5
Theoretical powder X-ray diffraction pattern of Sr2CuO2F2 for a wavelength of 1.5418 Å, from DFT lattice parameters and positions (PBE).
Kinematic intensities with the Lorentz-polarization factor, no thermal factor.

Atomic structure:
```
data_Sr2CuO2F2
_chemical_formula_sum 'Sr4 Cu2 O4 F4'
_cell_length_a 4.006
_cell_length_b 4.006
_cell_length_c 12.958
_cell_angle_alpha 90.00
_cell_angle_beta 90.00
_cell_angle_gamma 90.00
_space_group_name_H-M_alt 'I 4/m m m'
_space_group_IT_number 139
_space_group_name_Hall '-I 4 2'
loop_
_atom_site_label
_atom_site_fract_x
_atom_site_fract_y
_atom_site_fract_z
Sr1 0.000 0.000 0.135
Cu1 0.000 0.000 0.500
O1 0.000 0.500 0.000
F1 0.000 0.500 0.250
```

The 12 most intense peaks (10 to 90 degrees two-theta), in order of rising 2θ:
2θ (°), I (rel.), index
23.24, 9.7, 1 0 1
30.43, 100.0, 1 0 3
31.59, 28.9, 1 1 0
41.50, 21.2, 1 0 5
42.39, 25.5, 1 1 4
45.27, 35.0, 2 0 0
53.34, 8.1, 1 1 6
55.53, 35.0, 2 1 3
56.84, 7.3, 0 0 8
63.08, 11.7, 2 1 5
65.96, 10.3, 2 2 0
75.48, 11.8, 2 0 8

=====

Record 6
Theoretical powder X-ray diffraction pattern of UO4 for a wavelength of 1.5418 Å, from DFT lattice parameters and positions (PBE).
Kinematic intensities with the Lorentz-polarization factor, no thermal factor.

Atomic structure:
```
data_UO4
_chemical_formula_sum 'U4 O16'
_cell_length_a 3.961
_cell_length_b 11.735
_cell_length_c 6.891
_cell_angle_alpha 90.00
_cell_angle_beta 90.00
_cell_angle_gamma 90.00
_space_group_name_H-M_alt 'C m c e'
_space_group_IT_number 64
_space_group_name_Hall '-C 2ac 2'
loop_
_atom_site_label
_atom_site_fract_x
_atom_site_fract_y
_atom_site_fract_z
U1 0.000 0.000 0.000
O1 0.000 0.015 0.335
O2 0.000 0.153 0.961
```

The 12 most intense peaks (10 to 90 degrees two-theta), in order of rising 2θ:
2θ (°), I (rel.), index
15.10, 100.0, 0 2 0
25.86, 26.7, 0 0 2
27.06, 85.7, 1 1 1
30.08, 25.1, 0 2 2
30.47, 16.5, 0 4 0
34.76, 27.9, 1 3 1
40.38, 10.6, 0 4 2
46.36, 36.2, 0 6 0
46.89, 17.8, 1 5 1
51.59, 15.9, 1 3 3
61.11, 11.3, 1 5 3
73.42, 11.5, 2 6 2

=====

Record 7
Theoretical powder X-ray diffraction pattern of Li2AgF4 for a wavelength of 1.5418 Å, from DFT lattice parameters and positions (PBE).
Kinematic intensities with the Lorentz-polarization factor, no thermal factor.

Atomic structure:
```
data_Li2AgF4
_chemical_formula_sum 'Li36 Ag18 F72'
_cell_length_a 14.2098
_cell_length_b 14.2098
_cell_length_c 10.6894
_cell_angle_alpha 90.00
_cell_angle_beta 90.00
_cell_angle_gamma 120.00
_space_group_name_H-M_alt 'R -3'
_space_group_IT_number 148
_space_group_name_Hall '-R 3'
loop_
_atom_site_label
_atom_site_fract_x
_atom_site_fract_y
_atom_site_fract_z
Li1 0.0193 0.7940 0.0796
Li2 0.0336 0.8059 0.4167
Ag1 0.0722 0.8588 0.7447
F1 0.0030 0.3126 0.2581
F2 0.0335 0.8628 0.2476
F3 0.1016 0.8730 0.9420
F4 0.1044 0.5504 0.2173
```

The 12 most intense peaks (10 to 90 degrees two-theta), in order of rising 2θ:
2θ (°), I (rel.), index
16.62, 73.9, 0 2 1
18.10, 87.3, 0 1 2
20.83, 100.0, 3 -1 1
21.66, 52.7, 3 0 0
25.39, 29.4, 1 2 2
27.43, 51.8, 1 3 1
28.01, 24.6, 2 -1 3
33.34, 63.8, 4 1 0
34.34, 33.4, 1 0 4
37.99, 47.5, 3 3 0
42.39, 29.1, 4 2 2
52.13, 24.5, 6 -4 4